(1)
Diffraction record for YHfAu. The powder diffraction line list is simulated, not measured: it uses a DFT-relaxed cell (GGA-PBE, Alexandria) and λ = 1.5418 Å (Cu Kα).
Lines closer than 0.1° are merged.

Structure:
abc: 3.387 3.387 12.221
angles: 90.00 90.00 90.00
Atoms (fractional coordinates):
Y1 0.250 0.250 0.115
Y2 0.750 0.750 0.885
Hf1 0.250 0.250 0.421
Hf2 0.750 0.750 0.579
Au1 0.250 0.250 0.714
Au2 0.750 0.750 0.286

Peak list (6 most intense, 5 to 70 degrees two-theta, low angle first)
Position (°2θ)	d/Å	I_rel
7.23	12.221	84
34.44	2.604	100
37.55	2.395	52
39.73	2.269	35
54.16	1.694	18
65.78	1.420	31

(2)
Diffraction record for NbNi3Rh4. The powder diffraction line list is simulated, not measured: it uses a DFT-relaxed cell (GGA-PBE, Alexandria) and λ = 1.5418 Å (Cu Kα).
Lines closer than 0.1° are merged.

Structure:
abc: 8.880 8.880 4.980
angles: 105.84 105.84 17.24
Atoms (fractional coordinates):
Nb1 0.000 0.000 0.000
Ni1 0.376 0.376 0.618
Ni2 0.500 0.500 0.500
Ni3 0.624 0.624 0.382
Rh1 0.237 0.237 0.249
Rh2 0.375 0.375 0.123
Rh3 0.625 0.625 0.877
Rh4 0.763 0.763 0.751

Peak list (6 most intense, 5 to 70 degrees two-theta, low angle first)
Position (°2θ)	d/Å	I_rel
38.34	2.348	72
41.98	2.152	100
42.29	2.137	92
42.87	2.110	84
43.29	2.090	47
44.07	2.055	46

Repeat the first record exactly.
Diffraction record for YHfAu. The powder diffraction line list is simulated, not measured: it uses a DFT-relaxed cell (GGA-PBE, Alexandria) and λ = 1.5418 Å (Cu Kα).
Lines closer than 0.1° are merged.

Structure:
abc: 3.387 3.387 12.221
angles: 90.00 90.00 90.00
Atoms (fractional coordinates):
Y1 0.250 0.250 0.115
Y2 0.750 0.750 0.885
Hf1 0.250 0.250 0.421
Hf2 0.750 0.750 0.579
Au1 0.250 0.250 0.714
Au2 0.750 0.750 0.286

Peak list (6 most intense, 5 to 70 degrees two-theta, low angle first)
Position (°2θ)	d/Å	I_rel
7.23	12.221	84
34.44	2.604	100
37.55	2.395	52
39.73	2.269	35
54.16	1.694	18
65.78	1.420	31